(1)
Starting from a structure optimized by DFT (GGA-PBE), the powder X-ray diffraction pattern of Tb5Cd2O2 was calculated for Cu Kα X-rays.

Crystal structure
Unit cell a=6.9015 b=17.7846 c=7.0143 alpha=90.00 beta=90.00 gamma=90.00
Space group Imma (No. 74)
One atom of each set of equivalent atoms:
Tb: 0.0000 0.1360 0.0771 x8
Tb: 0.2500 0.0175 0.7500 x8
Tb: 0.2500 0.2500 0.7500 x4
Cd: 0.0000 0.1275 0.5084 x8
O: 0.0000 0.0000 0.0000 x4
O: 0.0000 0.2500 0.9621 x4

The 10 most intense peaks (5° ≤ 2θ ≤ 70°), sorted by position:
h k l  d/Å  Rel. int.
0 5 1  3.172  34
2 1 1  3.050  26
0 4 2  2.754  76
2 4 0  2.726  100
2 0 2  2.460  70
0 8 0  2.223  25
2 5 3  1.700  19
2 9 1  1.666  16
2 8 2  1.649  29
4 4 2  1.462  22

(2)
Starting from a structure optimized by DFT (GGA-PBE), the powder X-ray diffraction pattern of Tl2RhPbF6 was calculated for Cu Kα X-rays.

Crystal structure
Unit cell a=6.1022 b=9.5331 c=6.6926 alpha=90.00 beta=90.00 gamma=90.00
Space group Pmmn (No. 59, origin choice 2)
One atom of each set of equivalent atoms:
Tl: 0.2500 0.0270 0.2003 x4
Rh: 0.2500 0.7500 0.7837 x2
Pb: 0.2500 0.2500 0.7112 x2
F: 0.0061 0.7500 0.0023 x4
F: 0.0084 0.7500 0.5681 x4
F: 0.2500 0.0052 0.8048 x4

The 10 most intense peaks (5° ≤ 2θ ≤ 70°), sorted by position:
h k l  d/Å  Rel. int.
1 1 0  5.139  10
0 0 2  3.346  22
1 2 1  3.276  100
2 0 0  3.051  24
0 4 0  2.383  15
2 0 2  2.255  23
1 2 3  1.918  11
2 4 0  1.878  9
3 2 1  1.802  21
2 4 2  1.638  13

(3)
Starting from a structure optimized by DFT (GGA-PBE), the powder X-ray diffraction pattern of Pb4I3F4 was calculated for Cu Kα X-rays.

Crystal structure
Unit cell a=3.9015 b=9.6125 c=16.0103 alpha=90.00 beta=90.00 gamma=90.00
Space group Immm (No. 71)
One atom of each set of equivalent atoms:
Pb: 0.0000 0.0000 0.1961 x4
Pb: 0.0000 0.2250 0.5000 x4
I: 0.0000 0.0000 0.0000 x2
I: 0.0000 0.5000 0.1262 x4
F: 0.0000 0.3468 0.3502 x8

The 10 most intense peaks (5° ≤ 2θ ≤ 70°), sorted by position:
h k l  d/Å  Rel. int.
0 2 2  4.121  51
1 0 3  3.149  48
0 1 5  3.038  30
1 2 1  2.976  100
1 1 4  2.683  34
0 4 0  2.403  22
0 3 5  2.265  26
1 2 5  2.201  35
2 0 0  1.951  17
1 4 3  1.910  26